NiMoOs: calculated XRD peak list (Cu Kα, 1.54184 Å), based on a cell relaxed with GGA-PBE.
Kinematic intensities with the Lorentz-polarization factor, no thermal factor.

Lattice parameters (Å, degrees): 4.692 2.716 6.658 90.00 102.94 90.00
Space group Pm (No. 6)
Inequivalent atoms, fractional coordinates:
Ni (0.000, 0.000, 0.000) [1 per cell]
Ni (0.200, 0.000, 0.673) [1 per cell]
Mo (0.259, 0.500, 0.344) [1 per cell]
Mo (0.707, 0.500, 0.667) [1 per cell]
Os (0.487, 0.500, 0.002) [1 per cell]
Os (0.766, 0.000, 0.327) [1 per cell]

Principal peaks in the range 2θ from 10° to 90°, in order of rising 2θ:
| two_theta | d (Å) | I/Imax |
| --- | --- | --- |
| 13.6 | 6.489 | 26 |
| 21.1 | 4.208 | 28 |
| 38.6 | 2.335 | 46 |
| 41.8 | 2.163 | 71 |
| 42.6 | 2.121 | 100 |
| 43.0 | 2.104 | 49 |
| 44.9 | 2.019 | 43 |
| 45.2 | 2.007 | 82 |
| 69.3 | 1.355 | 31 |
| 84.8 | 1.143 | 24 |

***

Ni6Mo2P3: calculated XRD peak list (Cu Kα, 1.54184 Å), based on a cell relaxed with GGA-PBE.
Kinematic intensities with the Lorentz-polarization factor, no thermal factor.

Lattice parameters (Å, degrees): 3.534 12.917 5.693 90.00 90.00 90.00
Space group Pmmn (No. 59, origin choice 2)
Inequivalent atoms, fractional coordinates:
Ni (0.250, 0.040, 0.136) [4 per cell]
Ni (0.250, 0.250, 0.226) [2 per cell]
Ni (0.250, 0.651, 0.050) [4 per cell]
Ni (0.250, 0.750, 0.441) [2 per cell]
Mo (0.250, 0.082, 0.616) [4 per cell]
P (0.250, 0.250, 0.824) [2 per cell]
P (0.250, 0.612, 0.677) [4 per cell]

Principal peaks in the range 2θ from 10° to 90°, in order of rising 2θ:
| two_theta | d (Å) | I/Imax |
| --- | --- | --- |
| 36.5 | 2.463 | 58 |
| 40.7 | 2.217 | 100 |
| 41.0 | 2.199 | 47 |
| 41.3 | 2.185 | 41 |
| 43.1 | 2.097 | 63 |
| 43.4 | 2.086 | 87 |
| 45.0 | 2.014 | 44 |
| 46.4 | 1.958 | 34 |
| 47.5 | 1.913 | 51 |
| 51.7 | 1.767 | 69 |

***

ScNiMoP2: calculated XRD peak list (Cu Kα, 1.54184 Å), based on a cell relaxed with GGA-PBE.
Kinematic intensities with the Lorentz-polarization factor, no thermal factor.

Lattice parameters (Å, degrees): 4.351 4.351 4.464 90.00 90.00 90.00
Space group P4/mmm (No. 123)
Inequivalent atoms, fractional coordinates:
Sc (0.000, 0.000, 0.000) [1 per cell]
Ni (0.000, 0.000, 0.500) [1 per cell]
Mo (0.500, 0.500, 0.000) [1 per cell]
P (0.000, 0.500, 0.500) [2 per cell]

Principal peaks in the range 2θ from 10° to 90°, in order of rising 2θ:
| two_theta | d (Å) | I/Imax |
| --- | --- | --- |
| 28.7 | 3.116 | 100 |
| 29.0 | 3.077 | 74 |
| 35.4 | 2.533 | 77 |
| 40.4 | 2.232 | 50 |
| 41.5 | 2.176 | 92 |
| 50.5 | 1.807 | 30 |
| 51.2 | 1.784 | 39 |
| 59.3 | 1.558 | 60 |
| 60.2 | 1.538 | 29 |
| 75.0 | 1.267 | 29 |

***

Ni2Mo2Pd3: calculated XRD peak list (Cu Kα, 1.54184 Å), based on a cell relaxed with GGA-PBE.
Kinematic intensities with the Lorentz-polarization factor, no thermal factor.

Lattice parameters (Å, degrees): 4.940 8.642 9.541 90.00 90.00 90.00
Space group Cmce (No. 64)
Inequivalent atoms, fractional coordinates:
Ni (0.000, 0.197, 0.188) [8 per cell]
Mo (0.250, 0.058, 0.750) [8 per cell]
Pd (0.000, 0.000, 0.000) [4 per cell]
Pd (0.000, 0.160, 0.454) [8 per cell]

Principal peaks in the range 2θ from 10° to 90°, in order of rising 2θ:
| two_theta | d (Å) | I/Imax |
| --- | --- | --- |
| 35.0 | 2.561 | 50 |
| 37.3 | 2.408 | 100 |
| 37.7 | 2.385 | 50 |
| 41.2 | 2.193 | 78 |
| 42.9 | 2.107 | 58 |
| 43.3 | 2.091 | 80 |
| 43.4 | 2.085 | 74 |
| 46.3 | 1.960 | 87 |
| 46.4 | 1.956 | 44 |
| 77.3 | 1.234 | 28 |

***

NiMoPd5: calculated XRD peak list (Cu Kα, 1.54184 Å), based on a cell relaxed with GGA-PBE.
Kinematic intensities with the Lorentz-polarization factor, no thermal factor.

Lattice parameters (Å, degrees): 9.096 5.833 9.162 90.00 111.00 90.00
Space group C2/c (No. 15)
Inequivalent atoms, fractional coordinates:
Ni (0.250, 0.250, 0.000) [4 per cell]
Mo (0.000, 0.108, 0.250) [4 per cell]
Pd (0.000, 0.320, 0.750) [4 per cell]
Pd (0.101, 0.340, 0.484) [8 per cell]
Pd (0.247, 0.064, 0.731) [8 per cell]

Principal peaks in the range 2θ from 10° to 90°, in order of rising 2θ:
| two_theta | d (Å) | I/Imax |
| --- | --- | --- |
| 30.7 | 2.915 | 31 |
| 33.3 | 2.689 | 24 |
| 37.3 | 2.408 | 45 |
| 39.1 | 2.304 | 60 |
| 40.1 | 2.250 | 91 |
| 41.0 | 2.201 | 100 |
| 42.3 | 2.138 | 76 |
| 44.1 | 2.055 | 84 |
| 54.7 | 1.677 | 24 |
| 71.3 | 1.323 | 25 |

***

NiMoPd3: calculated XRD peak list (Cu Kα, 1.54184 Å), based on a cell relaxed with GGA-PBE.
Kinematic intensities with the Lorentz-polarization factor, no thermal factor.

Lattice parameters (Å, degrees): 2.730 9.114 6.614 90.00 90.00 90.00
Space group Amm2 (No. 38)
Inequivalent atoms, fractional coordinates:
Ni (0.000, 0.000, 0.000) [2 per cell]
Mo (0.500, 0.000, 0.316) [2 per cell]
Pd (0.000, 0.241, 0.221) [4 per cell]
Pd (0.500, 0.000, 0.678) [2 per cell]

Principal peaks in the range 2θ from 10° to 90°, in order of rising 2θ:
| two_theta | d (Å) | I/Imax |
| --- | --- | --- |
| 27.0 | 3.307 | 59 |
| 33.5 | 2.676 | 18 |
| 37.0 | 2.432 | 30 |
| 38.4 | 2.342 | 71 |
| 39.6 | 2.278 | 60 |
| 42.2 | 2.143 | 28 |
| 47.6 | 1.911 | 100 |
| 48.5 | 1.876 | 22 |
| 51.2 | 1.784 | 19 |
| 77.5 | 1.232 | 22 |

***

Ni6MoPt3: calculated XRD peak list (Cu Kα, 1.54184 Å), based on a cell relaxed with GGA-PBE.
Kinematic intensities with the Lorentz-polarization factor, no thermal factor.

Lattice parameters (Å, degrees): 6.621 5.233 7.880 90.00 107.52 90.00
Space group P2_1 (No. 4)
Inequivalent atoms, fractional coordinates:
Ni (0.003, 0.000, 0.001) [2 per cell]
Ni (0.004, 0.495, 0.505) [2 per cell]
Ni (0.213, 0.755, 0.798) [2 per cell]
Ni (0.381, 0.996, 0.101) [2 per cell]
Ni (0.384, 0.991, 0.592) [2 per cell]
Ni (0.392, 0.504, 0.601) [2 per cell]
Mo (0.225, 0.248, 0.798) [2 per cell]
Pt (0.190, 0.747, 0.302) [2 per cell]
Pt (0.203, 0.246, 0.307) [2 per cell]
Pt (0.395, 0.500, 0.094) [2 per cell]

Principal peaks in the range 2θ from 10° to 90°, in order of rising 2θ:
| two_theta | d (Å) | I/Imax |
| --- | --- | --- |
| 20.9 | 4.245 | 36 |
| 42.1 | 2.148 | 100 |
| 42.4 | 2.130 | 54 |
| 42.6 | 2.122 | 55 |
| 45.0 | 2.014 | 36 |
| 46.1 | 1.970 | 44 |
| 46.9 | 1.935 | 22 |
| 56.1 | 1.640 | 23 |
| 75.3 | 1.262 | 18 |
| 87.6 | 1.114 | 17 |

***

Ni6MoPt12: calculated XRD peak list (Cu Kα, 1.54184 Å), based on a cell relaxed with GGA-PBE.
Kinematic intensities with the Lorentz-polarization factor, no thermal factor.

Lattice parameters (Å, degrees): 8.278 8.278 8.278 90.00 90.00 90.00
Space group Im-3 (No. 204)
Inequivalent atoms, fractional coordinates:
Ni (0.000, 0.364, 0.500) [12 per cell]
Mo (0.000, 0.000, 0.000) [2 per cell]
Pt (0.000, 0.183, 0.270) [24 per cell]

Principal peaks in the range 2θ from 10° to 90°, in order of rising 2θ:
| two_theta | d (Å) | I/Imax |
| --- | --- | --- |
| 30.5 | 2.927 | 21 |
| 34.3 | 2.618 | 25 |
| 37.6 | 2.390 | 59 |
| 40.8 | 2.212 | 100 |
| 43.7 | 2.070 | 31 |
| 46.5 | 1.951 | 21 |
| 49.2 | 1.851 | 27 |
| 65.8 | 1.420 | 27 |
| 70.1 | 1.343 | 27 |
| 82.4 | 1.171 | 14 |

***

NiMoPt: calculated XRD peak list (Cu Kα, 1.54184 Å), based on a cell relaxed with GGA-PBE.
Kinematic intensities with the Lorentz-polarization factor, no thermal factor.

Lattice parameters (Å, degrees): 4.640 8.202 4.584 90.00 104.62 90.00
Space group C2/c (No. 15)
Inequivalent atoms, fractional coordinates:
Ni (0.000, 0.250, 0.250) [4 per cell]
Mo (0.000, 0.087, 0.750) [4 per cell]
Pt (0.000, 0.411, 0.750) [4 per cell]

Principal peaks in the range 2θ from 10° to 90°, in order of rising 2θ:
| two_theta | d (Å) | I/Imax |
| --- | --- | --- |
| 22.6 | 3.938 | 23 |
| 26.7 | 3.334 | 19 |
| 40.2 | 2.245 | 54 |
| 40.7 | 2.218 | 52 |
| 41.3 | 2.188 | 100 |
| 46.3 | 1.963 | 72 |
| 50.0 | 1.825 | 29 |
| 70.1 | 1.342 | 20 |
| 70.8 | 1.331 | 20 |
| 87.8 | 1.112 | 17 |

***

Ni3MoPt6: calculated XRD peak list (Cu Kα, 1.54184 Å), based on a cell relaxed with GGA-PBE.
Kinematic intensities with the Lorentz-polarization factor, no thermal factor.

Lattice parameters (Å, degrees): 8.938 12.901 5.314 90.00 90.00 90.00
Space group Cmc2_1 (No. 36)
Inequivalent atoms, fractional coordinates:
Ni (0.000, 0.071, 0.000) [4 per cell]
Ni (0.136, 0.366, 0.047) [8 per cell]
Mo (0.000, 0.245, 0.779) [4 per cell]
Pt (0.000, 0.218, 0.315) [4 per cell]
Pt (0.000, 0.447, 0.592) [4 per cell]
Pt (0.215, 0.008, 0.285) [8 per cell]
Pt (0.247, 0.316, 0.506) [8 per cell]

Principal peaks in the range 2θ from 10° to 90°, in order of rising 2θ:
| two_theta | d (Å) | I/Imax |
| --- | --- | --- |
| 21.7 | 4.102 | 24 |
| 27.7 | 3.225 | 16 |
| 35.9 | 2.499 | 14 |
| 36.7 | 2.449 | 20 |
| 38.4 | 2.347 | 54 |
| 40.4 | 2.235 | 29 |
| 42.0 | 2.153 | 100 |
| 44.2 | 2.051 | 22 |
| 46.3 | 1.962 | 26 |
| 46.9 | 1.938 | 31 |